Dy12ThSc7: calculated powder XRD pattern (Cu Ka), based on DFT lattice parameters and positions (PBE).
Peak positions follow from Bragg's law for the DFT cell and can differ from measured ones.

Top 8 peaks for 10° ≤ 2θ ≤ 90°, by intensity:
| two_theta | d (Å) | intensity |
| --- | --- | --- |
| 25.6 | 3.482 | 100.0 |
| 33.3 | 2.692 | 92.4 |
| 32.4 | 2.767 | 78.8 |
| 48.4 | 1.882 | 42.7 |
| 34.1 | 2.631 | 39.9 |
| 34.3 | 2.617 | 33.5 |
| 51.2 | 1.783 | 33.4 |
| 46.9 | 1.937 | 33.0 |

Structure:
a = 9.6894 Å, b = 9.6894 Å, c = 9.6894 Å
α = 112.92°, β = 112.92°, γ = 112.92°
Element x y z (fractional)
1 Dy 0.0000 0.2837 0.7163
2 Dy 0.0000 0.7163 0.2837
3 Dy 0.0864 0.4170 0.4170
4 Dy 0.2837 0.0000 0.7163
5 Dy 0.2837 0.7163 0.0000
6 Dy 0.4170 0.0864 0.4170
7 Dy 0.4170 0.4170 0.0864
8 Dy 0.5830 0.5830 0.9136
9 Dy 0.5830 0.9136 0.5830
10 Dy 0.7163 0.0000 0.2837
11 Dy 0.7163 0.2837 0.0000
12 Dy 0.9136 0.5830 0.5830
13 Th 0.0000 0.0000 0.0000
14 Sc 0.1574 0.1574 0.4905
15 Sc 0.1574 0.4905 0.1574
16 Sc 0.4905 0.1574 0.1574
17 Sc 0.5000 0.5000 0.5000
18 Sc 0.5095 0.8426 0.8426
19 Sc 0.8426 0.5095 0.8426
20 Sc 0.8426 0.8426 0.5095